Theoretical PXRD pattern of LiIn2Tc for Cu Kα (weighted mean of Kα1 and Kα2), from a DFT-relaxed cell (GGA-PBE, Alexandria).
No peak broadening, texture or thermal motion is included.

Principal peaks in the range 2θ from 10° to 90°, sorted by position:
d (Å), Position (°2θ), I (rel.), (hkl)
3.791, 23.5, 20, 1 1 1
3.283, 27.2, 18, 2 0 0
2.322, 38.8, 100, 2 2 0
1.642, 56.0, 17, 4 0 0
1.340, 70.2, 33, 4 2 2
1.161, 83.2, 10, 4 4 0

Atomic structure:
```
data_LiIn2Tc
_cell_length_a 6.5662
_cell_length_b 6.5662
_cell_length_c 6.5662
_cell_angle_alpha 90.00
_cell_angle_beta 90.00
_cell_angle_gamma 90.00
_space_group_name_H-M_alt 'F m -3 m'
_space_group_IT_number 225
_space_group_name_Hall '-F 4 2 3'
loop_
_atom_site_label
_atom_site_fract_x
_atom_site_fract_y
_atom_site_fract_z
Li1 0.0000 0.0000 0.0000
In1 0.2500 0.2500 0.2500
Tc1 0.0000 0.0000 0.5000
```

Theoretical PXRD pattern of Er3Fe7Tc2 for Cu Kα (weighted mean of Kα1 and Kα2), from a DFT-relaxed cell (GGA-PBE, Alexandria).
No peak broadening, texture or thermal motion is included.

Principal peaks in the range 2θ from 10° to 90°, sorted by position:
d (Å), Position (°2θ), I (rel.), (hkl)
2.767, 32.4, 39, 1 0 7
2.542, 35.3, 21, 0 1 8
2.529, 35.5, 56, 1 1 0
2.182, 41.4, 24, 0 2 1
2.161, 41.8, 100, 1 1 6
1.378, 68.0, 22, 3 0 6

Atomic structure:
```
data_Er3Fe7Tc2
_cell_length_a 5.0583
_cell_length_b 5.0583
_cell_length_c 24.9668
_cell_angle_alpha 90.00
_cell_angle_beta 90.00
_cell_angle_gamma 120.00
_space_group_name_H-M_alt 'R -3 m'
_space_group_IT_number 166
_space_group_name_Hall '-R 3 2"'
loop_
_atom_site_label
_atom_site_fract_x
_atom_site_fract_y
_atom_site_fract_z
Er1 0.0000 0.0000 0.0000
Er2 0.0000 0.0000 0.1417
Fe1 0.0000 0.0000 0.5000
Fe2 0.0007 0.5003 0.0845
Tc1 0.0000 0.0000 0.3323
```

Theoretical PXRD pattern of BaHoAgO3 for Cu Kα (weighted mean of Kα1 and Kα2), from a DFT-relaxed cell (GGA-PBE, Alexandria).
No peak broadening, texture or thermal motion is included.

Principal peaks in the range 2θ from 10° to 90°, sorted by position:
d (Å), Position (°2θ), I (rel.), (hkl)
3.197, 27.9, 45, 1 1 0
3.097, 28.8, 61, 2 0 -2
3.007, 29.7, 67, 0 0 3
2.907, 30.8, 100, 1 1 1
2.767, 32.4, 53, 1 1 -2
1.956, 46.4, 42, 3 1 -1

Atomic structure:
```
data_BaHoAgO3
_cell_length_a 6.9667
_cell_length_b 3.6301
_cell_length_c 9.3155
_cell_angle_alpha 90.00
_cell_angle_beta 104.42
_cell_angle_gamma 90.00
_space_group_name_H-M_alt 'P 1 21/m 1'
_space_group_IT_number 11
loop_
_space_group_symop_operation_xyz
'x,y,z'
'-x,-y,-z'
'-x,y+1/2,-z'
'x,-y+1/2,z'
loop_
_atom_site_label
_atom_site_fract_x
_atom_site_fract_y
_atom_site_fract_z
Ba1 0.0427 0.2500 0.3076
Ho1 0.4613 0.2500 0.6552
Ag1 0.3168 0.2500 0.9969
O1 0.2182 0.2500 0.7671
O2 0.3107 0.7500 0.4969
O3 0.3722 0.2500 0.2264
```

Theoretical PXRD pattern of Zr5Al3 for Cu Kα (weighted mean of Kα1 and Kα2), from a DFT-relaxed cell (GGA-PBE, Alexandria).
No peak broadening, texture or thermal motion is included.

Principal peaks in the range 2θ from 10° to 90°, sorted by position:
d (Å), Position (°2θ), I (rel.), (hkl)
2.737, 32.7, 53, 2 1 0
2.567, 35.0, 37, 1 0 2
2.449, 36.7, 100, 2 1 1
2.413, 37.3, 37, 3 0 0
2.295, 39.3, 69, 1 1 2
1.663, 55.2, 28, 2 2 2

Atomic structure:
```
data_Zr5Al3
_cell_length_a 8.3603
_cell_length_b 8.3603
_cell_length_c 5.4908
_cell_angle_alpha 90.00
_cell_angle_beta 90.00
_cell_angle_gamma 120.00
_space_group_name_H-M_alt 'P 63/m c m'
_space_group_IT_number 193
_space_group_name_Hall '-P 6c 2'
loop_
_atom_site_label
_atom_site_fract_x
_atom_site_fract_y
_atom_site_fract_z
Zr1 0.0000 0.2378 0.2500
Zr2 0.3333 0.6667 0.0000
Al1 0.0000 0.3932 0.7500
```

Theoretical PXRD pattern of HoErPt for Cu Kα (weighted mean of Kα1 and Kα2), from a DFT-relaxed cell (GGA-PBE, Alexandria).
No peak broadening, texture or thermal motion is included.

Principal peaks in the range 2θ from 10° to 90°, sorted by position:
d (Å), Position (°2θ), I (rel.), (hkl)
3.944, 22.5, 32, 1 1 1
2.415, 37.2, 100, 2 2 0
2.060, 44.0, 17, 3 1 -1
1.708, 53.7, 18, 4 0 0
1.395, 67.1, 36, 4 2 2
1.208, 79.3, 11, 4 4 0

Atomic structure:
```
data_HoErPt
_cell_length_a 6.8329
_cell_length_b 6.8319
_cell_length_c 6.8309
_cell_angle_alpha 90.00
_cell_angle_beta 90.04
_cell_angle_gamma 90.00
_space_group_name_H-M_alt 'P 1 21/c 1'
_space_group_IT_number 14
loop_
_space_group_symop_operation_xyz
'x,y,z'
'-x,-y,-z'
'-x,y+1/2,-z+1/2'
'x,-y+1/2,z+1/2'
loop_
_atom_site_label
_atom_site_fract_x
_atom_site_fract_y
_atom_site_fract_z
Ho1 0.0003 0.2500 0.0002
Er1 0.5003 0.2500 0.0001
Pt1 0.2511 0.0000 0.2500
```

Theoretical PXRD pattern of Ba3LaPt for Cu Kα (weighted mean of Kα1 and Kα2), from a DFT-relaxed cell (GGA-PBE, Alexandria).
No peak broadening, texture or thermal motion is included.

Principal peaks in the range 2θ from 10° to 90°, sorted by position:
d (Å), Position (°2θ), I (rel.), (hkl)
6.259, 14.1, 34, 1 0 0
4.426, 20.1, 34, 1 1 0
3.614, 24.6, 43, 1 1 1
3.130, 28.5, 100, 2 0 0
2.213, 40.8, 76, 2 2 0
1.400, 66.8, 36, 4 2 0

Atomic structure:
```
data_Ba3LaPt
_cell_length_a 6.2592
_cell_length_b 6.2592
_cell_length_c 6.2592
_cell_angle_alpha 90.00
_cell_angle_beta 90.00
_cell_angle_gamma 90.00
_space_group_name_H-M_alt 'P m -3 m'
_space_group_IT_number 221
_space_group_name_Hall '-P 4 2 3'
loop_
_atom_site_label
_atom_site_fract_x
_atom_site_fract_y
_atom_site_fract_z
Ba1 0.0000 0.0000 0.5000
La1 0.5000 0.5000 0.5000
Pt1 0.0000 0.0000 0.0000
```

Theoretical PXRD pattern of Y2HoO4 for Cu Kα (weighted mean of Kα1 and Kα2), from a DFT-relaxed cell (GGA-PBE, Alexandria).
No peak broadening, texture or thermal motion is included.

Principal peaks in the range 2θ from 10° to 90°, sorted by position:
d (Å), Position (°2θ), I (rel.), (hkl)
3.064, 29.1, 45, 2 0 1
2.968, 30.1, 100, 1 1 -1
2.950, 30.3, 47, 4 0 -1
2.935, 30.5, 50, 2 0 -2
2.453, 36.6, 60, 3 1 0
1.911, 47.6, 32, 1 1 2

Atomic structure:
```
data_Y2HoO4
_cell_length_a 11.8132
_cell_length_b 3.4393
_cell_length_c 5.8762
_cell_angle_alpha 90.00
_cell_angle_beta 117.32
_cell_angle_gamma 90.00
_space_group_name_H-M_alt 'C 1 2/m 1'
_space_group_IT_number 12
loop_
_space_group_symop_operation_xyz
'x,y,z'
'-x,-y,-z'
'-x,y,-z'
'x,-y,z'
'x+1/2,y+1/2,z'
'-x+1/2,-y+1/2,-z'
'-x+1/2,y+1/2,-z'
'x+1/2,-y+1/2,z'
loop_
_atom_site_label
_atom_site_fract_x
_atom_site_fract_y
_atom_site_fract_z
Y1 0.2006 0.0000 0.2004
Ho1 0.0000 0.5000 0.5000
O1 0.1318 0.5000 0.9252
O2 0.1435 0.0000 0.5200
```

Theoretical PXRD pattern of Ta4PdPt7 for Cu Kα (weighted mean of Kα1 and Kα2), from a DFT-relaxed cell (GGA-PBE, Alexandria).
No peak broadening, texture or thermal motion is included.

Principal peaks in the range 2θ from 10° to 90°, sorted by position:
d (Å), Position (°2θ), I (rel.), (hkl)
2.524, 35.6, 51, 4 0 -3
2.423, 37.1, 89, 0 2 0
2.396, 37.5, 32, 2 0 -4
2.202, 41.0, 100, 3 1 1
2.055, 44.1, 55, 1 1 -4
1.748, 52.3, 34, 4 2 -3

Atomic structure:
```
data_Ta4PdPt7
_cell_length_a 10.7685
_cell_length_b 4.8460
_cell_length_c 9.6216
_cell_angle_alpha 90.00
_cell_angle_beta 121.57
_cell_angle_gamma 90.00
_space_group_name_H-M_alt 'C 1 2/m 1'
_space_group_IT_number 12
loop_
_space_group_symop_operation_xyz
'x,y,z'
'-x,-y,-z'
'-x,y,-z'
'x,-y,z'
'x+1/2,y+1/2,z'
'-x+1/2,-y+1/2,-z'
'-x+1/2,y+1/2,-z'
'x+1/2,-y+1/2,z'
loop_
_atom_site_label
_atom_site_fract_x
_atom_site_fract_y
_atom_site_fract_z
Ta1 0.0817 0.0000 0.2764
Ta2 0.2454 0.0000 0.8299
Pd1 0.0000 0.5000 0.5000
Pt1 0.0000 0.0000 0.5000
Pt2 0.0760 0.5000 0.8386
Pt3 0.1387 0.0000 0.0421
Pt4 0.2095 0.5000 0.4055
```

Theoretical PXRD pattern of PuHg2Pd3 for Cu Kα (weighted mean of Kα1 and Kα2), from a DFT-relaxed cell (GGA-PBE, Alexandria).
No peak broadening, texture or thermal motion is included.

Principal peaks in the range 2θ from 10° to 90°, sorted by position:
d (Å), Position (°2θ), I (rel.), (hkl)
2.760, 32.4, 55, 2 2 0
2.603, 34.5, 100, 0 2 2
2.473, 36.3, 72, 2 2 1
2.439, 36.9, 71, 0 6 0
2.216, 40.7, 46, 0 4 2
2.134, 42.4, 57, 2 4 1

Atomic structure:
```
data_PuHg2Pd3
_cell_length_a 5.9595
_cell_length_b 14.6322
_cell_length_c 5.5710
_cell_angle_alpha 90.00
_cell_angle_beta 90.00
_cell_angle_gamma 90.00
_space_group_name_H-M_alt 'C m c m'
_space_group_IT_number 63
_space_group_name_Hall '-C 2c 2'
loop_
_atom_site_label
_atom_site_fract_x
_atom_site_fract_y
_atom_site_fract_z
Pu1 0.0000 0.1800 0.2500
Hg1 0.2429 0.5000 0.0000
Pd1 0.0000 0.3362 0.7500
Pd2 0.2369 0.1679 0.7500
```

Theoretical PXRD pattern of RbAlH8Rh2 for Cu Kα (weighted mean of Kα1 and Kα2), from a DFT-relaxed cell (GGA-PBE, Alexandria).
No peak broadening, texture or thermal motion is included.

Principal peaks in the range 2θ from 10° to 90°, sorted by position:
d (Å), Position (°2θ), I (rel.), (hkl)
6.971, 12.7, 57, 0 0 3
3.937, 22.6, 48, 1 0 1
3.181, 28.1, 57, 1 0 4
2.894, 30.9, 100, 0 1 5
2.314, 38.9, 77, 1 1 0
1.854, 49.1, 39, 1 0 10

Atomic structure:
```
data_RbAlH8Rh2
_cell_length_a 4.6282
_cell_length_b 4.6282
_cell_length_c 20.9141
_cell_angle_alpha 90.00
_cell_angle_beta 90.00
_cell_angle_gamma 120.00
_space_group_name_H-M_alt 'R -3'
_space_group_IT_number 148
_space_group_name_Hall '-R 3'
loop_
_atom_site_label
_atom_site_fract_x
_atom_site_fract_y
_atom_site_fract_z
Rb1 0.0000 0.0000 0.0000
Al1 0.0000 0.0000 0.5000
H1 0.0000 0.0000 0.2759
H2 0.0014 0.3443 0.7796
Rh1 0.0000 0.0000 0.1994
```

Theoretical PXRD pattern of ZnH6 for Cu Kα (weighted mean of Kα1 and Kα2), from a DFT-relaxed cell (GGA-PBE, Alexandria).
No peak broadening, texture or thermal motion is included.

Principal peaks in the range 2θ from 10° to 90°, sorted by position:
d (Å), Position (°2θ), I (rel.), (hkl)
4.927, 18.0, 100, 1 1 0
3.476, 25.6, 58, 2 0 1
2.462, 36.5, 41, 3 1 1
2.385, 37.7, 23, 1 2 1
2.203, 41.0, 17, 4 0 1
2.194, 41.1, 23, 1 1 2

Atomic structure:
```
data_ZnH6
_cell_length_a 9.8715
_cell_length_b 5.6822
_cell_length_c 4.9002
_cell_angle_alpha 90.00
_cell_angle_beta 90.00
_cell_angle_gamma 90.00
_space_group_name_H-M_alt 'P n a 21'
_space_group_IT_number 33
loop_
_space_group_symop_operation_xyz
'x,y,z'
'-x,-y,z+1/2'
'-x+1/2,y+1/2,z+1/2'
'x+1/2,-y+1/2,z'
loop_
_atom_site_label
_atom_site_fract_x
_atom_site_fract_y
_atom_site_fract_z
Zn1 0.0753 0.0807 0.0000
H1 0.0342 0.5237 0.4918
H2 0.0526 0.0454 0.6590
H3 0.1063 0.5670 0.5082
H4 0.1745 0.7189 0.0812
H5 0.1982 0.2385 0.0726
H6 0.2034 0.7303 0.9377
```

Theoretical PXRD pattern of Sr8Li2Pd for Cu Kα (weighted mean of Kα1 and Kα2), from a DFT-relaxed cell (GGA-PBE, Alexandria).
No peak broadening, texture or thermal motion is included.

Principal peaks in the range 2θ from 10° to 90°, sorted by position:
d (Å), Position (°2θ), I (rel.), (hkl)
3.500, 25.4, 47, 3 1 1
3.389, 26.3, 33, 6 0 -1
3.364, 26.5, 47, 5 1 -1
3.287, 27.1, 100, 1 1 -2
3.097, 28.8, 87, 0 2 0
3.009, 29.7, 62, 1 1 2

Atomic structure:
```
data_Sr8Li2Pd
_cell_length_a 20.4790
_cell_length_b 6.1945
_cell_length_c 7.8329
_cell_angle_alpha 90.00
_cell_angle_beta 108.79
_cell_angle_gamma 90.00
_space_group_name_H-M_alt 'C 1 2/m 1'
_space_group_IT_number 12
loop_
_space_group_symop_operation_xyz
'x,y,z'
'-x,-y,-z'
'-x,y,-z'
'x,-y,z'
'x+1/2,y+1/2,z'
'-x+1/2,-y+1/2,-z'
'-x+1/2,y+1/2,-z'
'x+1/2,-y+1/2,z'
loop_
_atom_site_label
_atom_site_fract_x
_atom_site_fract_y
_atom_site_fract_z
Sr1 0.0205 0.0000 0.2885
Sr2 0.0880 0.5000 0.9080
Sr3 0.1447 0.5000 0.4574
Sr4 0.2060 0.0000 0.7996
Li1 0.1816 0.0000 0.2192
Pd1 0.0000 0.5000 0.5000
```